# 1
The following is a simulated X-ray diffraction stick pattern of KNaSe. It was derived from DFT lattice parameters and positions (PBE), using λ = 1.5418 Å (Cu Kα).
Peak positions follow from Bragg's law for the DFT cell and can differ from measured ones.

Cell and atoms:
Lattice parameters (Å, degrees): 8.141 4.854 8.779 90.00 90.00 90.00
Space group Pnma (No. 62)
Inequivalent atoms, fractional coordinates:
K  0.014  0.250  0.185 [4 per cell]
Na  0.146  0.250  0.575 [4 per cell]
Se  0.221  0.750  0.395 [4 per cell]

Principal peaks in the range 5° ≤ 2θ ≤ 70°, sorted by position:
2theta  I (rel.)  h k l
23.02  45.7  1 0 2
23.62  54.8  1 1 1
29.55  46.5  1 1 2
29.94  17.8  2 0 2
30.41  100.0  2 1 1
34.60  22.8  3 0 1
35.83  53.5  0 1 3
37.04  41.3  0 2 0
39.02  22.1  3 0 2
39.40  22.1  3 1 1
42.35  20.5  2 1 3
54.90  18.0  3 2 2

# 2
The following is a simulated X-ray diffraction stick pattern of KNaTe. It was derived from DFT lattice parameters and positions (PBE), using λ = 1.5418 Å (Cu Kα).
Peak positions follow from Bragg's law for the DFT cell and can differ from measured ones.

Cell and atoms:
Lattice parameters (Å, degrees): 8.647 5.151 9.389 90.00 90.00 90.00
Space group Pnma (No. 62)
Inequivalent atoms, fractional coordinates:
K  0.015  0.250  0.185 [4 per cell]
Na  0.145  0.250  0.573 [4 per cell]
Te  0.223  0.750  0.392 [4 per cell]

Principal peaks in the range 5° ≤ 2θ ≤ 70°, sorted by position:
2theta  I (rel.)  h k l
20.54  29.0  2 0 0
21.54  80.1  1 0 2
22.21  90.9  1 1 1
27.70  33.2  1 1 2
28.58  100.0  2 1 1
33.50  55.8  0 1 3
34.83  40.9  0 2 0
36.58  29.6  3 0 2
37.00  30.3  3 1 1
39.62  30.2  2 1 3
41.32  29.2  1 2 2
51.40  24.8  3 2 2

# 3
The following is a simulated X-ray diffraction stick pattern of KNdNb2O6. It was derived from DFT lattice parameters and positions (PBE), using λ = 1.5418 Å (Cu Kα).
Peak positions follow from Bragg's law for the DFT cell and can differ from measured ones.

Cell and atoms:
Lattice parameters (Å, degrees): 8.138 8.138 8.138 90.00 90.00 90.00
Space group Fm-3m (No. 225)
Inequivalent atoms, fractional coordinates:
K  0.000  0.000  0.000 [4 per cell]
Nd  0.000  0.000  0.500 [4 per cell]
Nb  0.250  0.250  0.250 [8 per cell]
O  0.000  0.250  0.250 [24 per cell]

Principal peaks in the range 5° ≤ 2θ ≤ 70°, sorted by position:
2theta  I (rel.)  h k l
18.89  19.9  1 1 1
21.84  2.0  2 0 0
31.08  100.0  2 2 0
36.62  11.8  3 1 1
38.31  2.7  2 2 2
44.53  34.1  4 0 0
48.78  5.5  3 3 1
50.13  0.6  4 2 0
55.30  39.0  4 2 2
58.97  4.2  5 1 1
64.81  20.2  4 4 0
68.17  4.2  5 3 1

# 4
The following is a simulated X-ray diffraction stick pattern of K2Nb2O5. It was derived from DFT lattice parameters and positions (PBE), using λ = 1.5418 Å (Cu Kα).
Peak positions follow from Bragg's law for the DFT cell and can differ from measured ones.

Cell and atoms:
Lattice parameters (Å, degrees): 16.087 5.839 5.894 90.00 90.00 90.00
Space group Ima2 (No. 46)
Inequivalent atoms, fractional coordinates:
K  0.111  0.023  0.000 [8 per cell]
Nb  0.000  0.000  0.495 [4 per cell]
Nb  0.250  0.579  0.016 [4 per cell]
O  0.002  0.749  0.749 [8 per cell]
O  0.132  0.003  0.496 [8 per cell]
O  0.250  0.638  0.342 [4 per cell]

Principal peaks in the range 5° ≤ 2θ ≤ 70°, sorted by position:
2theta  I (rel.)  h k l
16.15  14.1  1 1 0
21.42  44.2  0 1 1
22.10  21.8  4 0 0
30.33  39.5  0 0 2
30.62  27.7  0 2 0
30.97  100.0  4 1 1
34.74  11.7  1 2 1
43.64  33.1  0 2 2
45.10  25.0  8 0 0
54.29  21.9  4 1 3
55.31  11.5  8 0 2
64.55  15.7  8 2 2

# 5
The following is a simulated X-ray diffraction stick pattern of KNb13O33. It was derived from DFT lattice parameters and positions (PBE), using λ = 1.5418 Å (Cu Kα).
Peak positions follow from Bragg's law for the DFT cell and can differ from measured ones.

Cell and atoms:
Lattice parameters (Å, degrees): 22.998 3.885 15.645 90.00 90.97 90.00
Space group C2/m (No. 12)
Inequivalent atoms, fractional coordinates:
K  0.000  0.000  0.000 [2 per cell]
Nb  0.000  0.500  0.500 [2 per cell]
Nb  0.071  0.500  0.728 [4 per cell]
Nb  0.087  0.500  0.175 [4 per cell]
Nb  0.139  0.500  0.967 [4 per cell]
Nb  0.155  0.500  0.404 [4 per cell]
Nb  0.207  0.000  0.126 [4 per cell]
Nb  0.225  0.500  0.637 [4 per cell]
O  0.000  0.000  0.500 [2 per cell]
O  0.012  0.500  0.208 [4 per cell]
O  0.036  0.500  0.619 [4 per cell]
O  0.070  0.000  0.745 [4 per cell]
O  0.072  0.500  0.047 [4 per cell]
O  0.082  0.500  0.451 [4 per cell]
O  0.100  0.500  0.865 [4 per cell]
O  0.110  0.000  0.163 [4 per cell]
O  0.128  0.500  0.288 [4 per cell]
O  0.152  0.000  0.995 [4 per cell]
O  0.154  0.500  0.695 [4 per cell]
O  0.180  0.000  0.401 [4 per cell]
O  0.182  0.500  0.111 [4 per cell]
O  0.194  0.500  0.528 [4 per cell]
O  0.223  0.500  0.931 [4 per cell]
O  0.232  0.000  0.235 [4 per cell]
O  0.250  0.000  0.638 [4 per cell]

Principal peaks in the range 5° ≤ 2θ ≤ 70°, sorted by position:
2theta  I (rel.)  h k l
16.34  38.4  4 0 -1
18.80  31.1  2 0 3
23.22  84.2  1 1 0
24.16  100.0  2 0 4
25.71  86.5  6 0 -2
30.60  39.2  5 1 -1
31.10  33.9  3 1 3
33.39  30.1  8 0 2
42.71  24.9  10 0 -3
46.77  36.8  0 2 0
51.44  32.6  5 1 7
52.47  29.2  11 1 -3

# 6
The following is a simulated X-ray diffraction stick pattern of K6Nb11O30. It was derived from DFT lattice parameters and positions (PBE), using λ = 1.5418 Å (Cu Kα).
Peak positions follow from Bragg's law for the DFT cell and can differ from measured ones.

Cell and atoms:
Lattice parameters (Å, degrees): 3.963 18.360 18.492 90.00 90.00 90.00
Space group Amm2 (No. 38)
Inequivalent atoms, fractional coordinates:
K  0.000  0.000  0.000 [2 per cell]
K  0.000  0.000  0.335 [2 per cell]
K  0.000  0.177  0.674 [4 per cell]
K  0.000  0.245  0.917 [4 per cell]
Nb  0.000  0.000  0.550 [2 per cell]
Nb  0.500  0.000  0.180 [2 per cell]
Nb  0.500  0.000  0.686 [2 per cell]
Nb  0.500  0.107  0.859 [4 per cell]
Nb  0.500  0.118  0.481 [4 per cell]
Nb  0.500  0.173  0.066 [4 per cell]
Nb  0.500  0.188  0.270 [4 per cell]
O  0.000  0.000  0.168 [2 per cell]
O  0.000  0.000  0.659 [2 per cell]
O  0.000  0.095  0.496 [4 per cell]
O  0.000  0.108  0.852 [4 per cell]
O  0.000  0.183  0.279 [4 per cell]
O  0.000  0.188  0.061 [4 per cell]
O  0.500  0.000  0.465 [2 per cell]
O  0.500  0.000  0.881 [2 per cell]
O  0.500  0.067  0.588 [4 per cell]
O  0.500  0.076  0.091 [4 per cell]
O  0.500  0.078  0.249 [4 per cell]
O  0.500  0.081  0.745 [4 per cell]
O  0.500  0.143  0.385 [4 per cell]
O  0.500  0.145  0.956 [4 per cell]
O  0.500  0.210  0.523 [4 per cell]
O  0.500  0.214  0.814 [4 per cell]
O  0.500  0.215  0.169 [4 per cell]

Principal peaks in the range 5° ≤ 2θ ≤ 70°, sorted by position:
2theta  I (rel.)  h k l
15.21  49.0  0 3 1
21.60  36.4  0 4 2
22.44  57.5  1 0 0
24.55  24.3  0 1 5
27.22  32.8  1 3 1
28.22  79.6  0 3 5
29.78  20.8  1 4 0
30.59  20.0  0 2 6
31.32  100.0  1 2 4
33.50  24.4  1 1 5
45.80  40.3  2 0 0
54.67  23.5  2 3 5

# 7
The following is a simulated X-ray diffraction stick pattern of K2NbO6. It was derived from DFT lattice parameters and positions (PBE), using λ = 1.5418 Å (Cu Kα).
Peak positions follow from Bragg's law for the DFT cell and can differ from measured ones.

Cell and atoms:
Lattice parameters (Å, degrees): 6.032 8.575 6.089 90.00 90.00 90.00
Space group Imm2 (No. 44)
Inequivalent atoms, fractional coordinates:
K  0.000  0.250  0.000 [4 per cell]
Nb  0.000  0.000  0.509 [2 per cell]
O  0.000  0.231  0.485 [4 per cell]
O  0.227  0.000  0.263 [4 per cell]
O  0.234  0.000  0.726 [4 per cell]

Principal peaks in the range 5° ≤ 2θ ≤ 70°, sorted by position:
2theta  I (rel.)  h k l
17.87  96.5  0 1 1
17.98  96.5  1 1 0
20.72  20.5  0 2 0
29.34  25.0  0 0 2
29.47  100.0  1 2 1
29.62  24.7  2 0 0
34.64  38.6  0 3 1
34.78  37.8  2 1 1
42.17  91.3  0 4 0
52.13  28.1  1 2 3
52.46  18.3  3 2 1
61.15  33.2  2 4 2

# 8
The following is a simulated X-ray diffraction stick pattern of KNbO3. It was derived from DFT lattice parameters and positions (PBE), using λ = 1.5418 Å (Cu Kα).
Peak positions follow from Bragg's law for the DFT cell and can differ from measured ones.

Cell and atoms:
Lattice parameters (Å, degrees): 5.7739 5.7739 7.1092 90.00 90.00 120.00
Space group R3m (No. 160, hexagonal axes)
Inequivalent atoms, fractional coordinates:
K  0.0000  0.0000  0.0000 [3 per cell]
Nb  0.0000  0.0000  0.5129 [3 per cell]
O  0.1680  0.3361  0.3152 [9 per cell]

Principal peaks in the range 5° ≤ 2θ ≤ 70°, sorted by position:
2theta  I (rel.)  h k l
21.73  87.1  1 0 1
30.86  100.0  0 1 2
30.98  97.4  1 1 0
44.29  79.4  2 0 2
49.78  17.5  1 1 3
49.93  17.8  2 1 1
54.82  19.2  1 0 4
55.05  55.2  1 2 2
64.31  21.2  0 2 4
64.56  23.1  2 2 0
68.87  6.4  3 0 3
68.99  6.5  1 3 1